No. 1
Er2RuPb2: simulated powder diffraction line list (Cu Kα (weighted mean of Kα1 and Kα2)), based on a crystal structure in Alexandria, relaxed with GGA-PBE.
Kinematic intensities with the Lorentz-polarization factor, no thermal factor.

```
Er2RuPb2
1.0
-1.7145 1.7145 10.9473
1.7145 -1.7145 10.9473
1.7145 1.7145 -10.9473
Er Ru Pb
2 1 2
direct
0.0742 0.0742 0.0000
0.9258 0.9258 0.0000
0.5000 0.5000 0.0000
0.3099 0.3099 0.0000
0.6901 0.6901 0.0000
```

Principal peaks in the range 2θ = 15–90°, low angle first:
- 28.8°, I 287
- 32.7°, I 166
- 33.2°, I 1000
- 37.1°, I 509
- 50.3°, I 205
- 53.4°, I 180
- 61.3°, I 132
- 64.4°, I 302

No. 2
Er4RuPb: simulated powder diffraction line list (Cu Kα (weighted mean of Kα1 and Kα2)), based on a crystal structure in Alexandria, relaxed with GGA-PBE.
Kinematic intensities with the Lorentz-polarization factor, no thermal factor.

```
Er4RuPb
1.0
4.4313 -6.6663 0.0000
4.4313 6.6663 0.0000
-2.3621 0.0000 5.6259
Er Ru Pb
8 2 2
direct
0.0566 0.7235 0.9374
0.2056 0.3473 0.6507
0.2765 0.9434 0.5626
0.3473 0.2056 0.1507
0.6527 0.7944 0.8493
0.7235 0.0566 0.4374
0.7944 0.6527 0.3493
0.9434 0.2765 0.0626
0.0002 0.9998 0.2500
0.9998 0.0002 0.7500
0.3705 0.6295 0.2500
0.6295 0.3705 0.7500
```

Principal peaks in the range 2θ = 15–90°, low angle first:
- 30.1°, I 505
- 31.2°, I 883
- 34.5°, I 1000
- 35.7°, I 344
- 36.7°, I 272
- 37.1°, I 222
- 38.8°, I 217
- 46.5°, I 246

No. 3
Er4Ru2Pb: simulated powder diffraction line list (Cu Kα (weighted mean of Kα1 and Kα2)), based on a crystal structure in Alexandria, relaxed with GGA-PBE.
Kinematic intensities with the Lorentz-polarization factor, no thermal factor.

```
Er4Ru2Pb
1.0
6.0285 0.0000 0.0000
-1.0788 7.7718 0.0000
-1.5896 -3.9259 7.2063
Er Ru Pb
8 4 2
direct
0.0000 0.0000 0.0000
0.0779 0.9178 0.3922
0.1881 0.4780 0.2790
0.2857 0.4062 0.6667
0.4973 0.8439 0.1285
0.5900 0.3235 0.0845
0.7018 0.1361 0.6132
0.7952 0.5549 0.5565
0.1602 0.1977 0.8304
0.3967 0.2002 0.3342
0.6080 0.7396 0.3935
0.8812 0.2022 0.3291
0.3786 0.8536 0.7189
0.9470 0.5593 0.9545
```

Principal peaks in the range 2θ = 15–90°, low angle first:
- 30.2°, I 493
- 30.6°, I 432
- 32.0°, I 223
- 32.9°, I 1000
- 33.4°, I 240
- 33.8°, I 629
- 35.6°, I 204
- 37.4°, I 293

No. 4
ErPb2S4: simulated powder diffraction line list (Cu Kα (weighted mean of Kα1 and Kα2)), based on a crystal structure in Alexandria, relaxed with GGA-PBE.
Kinematic intensities with the Lorentz-polarization factor, no thermal factor.

```
ErPb2S4
1.0
1.9324 -6.8495 0.0000
1.9324 6.8495 0.0000
0.0000 0.0000 13.3785
Er Pb S
2 4 8
direct
0.1177 0.8823 0.7500
0.8823 0.1177 0.2500
0.3689 0.6311 0.5700
0.3689 0.6311 0.9300
0.6311 0.3689 0.0700
0.6311 0.3689 0.4300
0.0000 0.0000 0.0000
0.0000 0.0000 0.5000
0.2905 0.7095 0.1306
0.2905 0.7095 0.3694
0.4789 0.5211 0.7500
0.5211 0.4789 0.2500
0.7095 0.2905 0.6306
0.7095 0.2905 0.8694
```

Principal peaks in the range 2θ = 15–90°, low angle first:
- 23.8°, I 1000
- 26.0°, I 312
- 27.4°, I 266
- 31.0°, I 310
- 33.2°, I 417
- 41.6°, I 285
- 44.6°, I 258
- 53.4°, I 327

No. 5
Er4PbS2: simulated powder diffraction line list (Cu Kα (weighted mean of Kα1 and Kα2)), based on a crystal structure in Alexandria, relaxed with GGA-PBE.
Kinematic intensities with the Lorentz-polarization factor, no thermal factor.

```
Er4PbS2
1.0
1.9805 -6.5140 0.0000
1.9805 6.5140 0.0000
0.0000 0.0000 13.2712
Er Pb S
8 2 4
direct
0.0000 0.0000 0.0000
0.0000 0.0000 0.5000
0.2622 0.7378 0.6160
0.2622 0.7378 0.8840
0.4252 0.5748 0.2500
0.5748 0.4252 0.7500
0.7378 0.2622 0.1160
0.7378 0.2622 0.3840
0.1059 0.8941 0.2500
0.8941 0.1059 0.7500
0.3668 0.6332 0.0568
0.3668 0.6332 0.4432
0.6332 0.3668 0.5568
0.6332 0.3668 0.9432
```

Principal peaks in the range 2θ = 15–90°, low angle first:
- 30.2°, I 648
- 30.6°, I 287
- 31.1°, I 554
- 31.3°, I 1000
- 33.5°, I 266
- 41.5°, I 231
- 45.8°, I 228
- 55.9°, I 233

No. 6
Er4SbPb2: simulated powder diffraction line list (Cu Kα (weighted mean of Kα1 and Kα2)), based on a crystal structure in Alexandria, relaxed with GGA-PBE.
Kinematic intensities with the Lorentz-polarization factor, no thermal factor.

```
Er4SbPb2
1.0
6.1367 0.0000 0.0000
0.0000 6.5241 0.0000
-1.6815 0.0000 10.1095
Er Sb Pb
8 2 4
direct
0.0279 0.2500 0.1601
0.1353 0.7500 0.4486
0.4289 0.0045 0.7315
0.4289 0.4955 0.7315
0.5711 0.5045 0.2685
0.5711 0.9955 0.2685
0.8647 0.2500 0.5514
0.9721 0.7500 0.8399
0.0541 0.7500 0.1568
0.9459 0.2500 0.8432
0.3115 0.2500 0.4572
0.4862 0.2500 0.0058
0.5138 0.7500 0.9942
0.6885 0.7500 0.5428
```

Principal peaks in the range 2θ = 15–90°, low angle first:
- 27.3°, I 342
- 29.4°, I 740
- 31.1°, I 284
- 32.5°, I 822
- 32.7°, I 1000
- 34.7°, I 912
- 36.2°, I 656
- 42.8°, I 324

No. 7
Er5Sc2Pb4: simulated powder diffraction line list (Cu Kα (weighted mean of Kα1 and Kα2)), based on a crystal structure in Alexandria, relaxed with GGA-PBE.
Kinematic intensities with the Lorentz-polarization factor, no thermal factor.

```
Er5Sc2Pb4
1.0
11.0910 -1.7587 0.0000
11.0910 1.7587 0.0000
-1.2819 0.0000 8.0736
Er Sc Pb
5 2 4
direct
0.0000 0.0000 0.0000
0.3192 0.3192 0.5472
0.3572 0.3572 0.9937
0.6428 0.6428 0.0063
0.6808 0.6808 0.4528
0.0789 0.0789 0.6585
0.9211 0.9211 0.3415
0.2207 0.2207 0.7808
0.4561 0.4561 0.6738
0.5439 0.5439 0.3262
0.7793 0.7793 0.2192
```

Principal peaks in the range 2θ = 15–90°, low angle first:
- 28.2°, I 598
- 32.8°, I 621
- 33.0°, I 311
- 34.8°, I 994
- 35.6°, I 1000
- 45.3°, I 278
- 59.4°, I 210
- 62.9°, I 294

No. 8
Er3ScPb2: simulated powder diffraction line list (Cu Kα (weighted mean of Kα1 and Kα2)), based on a crystal structure in Alexandria, relaxed with GGA-PBE.
Kinematic intensities with the Lorentz-polarization factor, no thermal factor.

```
Er3ScPb2
1.0
-3.1755 8.3213 3.1727
3.1755 -8.3213 3.1727
3.1755 8.3213 -3.1727
Er Sc Pb
6 2 4
direct
0.1696 0.2502 0.4198
0.2500 0.2500 0.0000
0.3304 0.7502 0.0807
0.6696 0.2498 0.9193
0.7500 0.7500 0.0000
0.8304 0.7498 0.5802
0.2500 0.7500 0.5000
0.7500 0.2500 0.5000
0.1395 0.7441 0.8836
0.3605 0.2441 0.6046
0.6395 0.7559 0.3954
0.8605 0.2559 0.1164
```

Principal peaks in the range 2θ = 15–90°, low angle first:
- 28.1°, I 462
- 30.1°, I 592
- 32.3°, I 330
- 35.6°, I 1000
- 38.1°, I 224
- 40.2°, I 583
- 52.4°, I 338
- 70.0°, I 275